Diffraction record for CsTlSe2. The powder X-ray diffraction pattern is calculated, not measured: it uses the PBE geometry in Alexandria and Cu Kα (weighted mean of Kα1 and Kα2).
Peak positions follow from Bragg's law for the DFT cell and can differ from measured ones.

Cell and atoms:
```
data_CsTlSe2
_symmetry_space_group_name_H-M 'P n m a'
_symmetry_Int_Tables_number 62
_cell_length_a 8.795
_cell_length_b 4.460
_cell_length_c 16.427
_cell_angle_alpha 90.00
_cell_angle_beta 90.00
_cell_angle_gamma 90.00
loop_
_symmetry_equiv_pos_as_xyz
'x,y,z'
'-x,-y,-z'
'-x+1/2,-y,z+1/2'
'x+1/2,y,-z+1/2'
'x+1/2,-y+1/2,-z+1/2'
'-x+1/2,y+1/2,z+1/2'
'-x,y+1/2,-z'
'x,-y+1/2,z'
loop_
_atom_site_label
_atom_site_fract_x
_atom_site_fract_y
_atom_site_fract_z
Cs1 0.090 0.250 0.145
Tl1 0.027 0.750 0.401
Se1 0.127 0.250 0.730
Se2 0.184 0.250 0.462
```

Most intense lines, 10 to 80 degrees two-theta, sorted by position:
- (1 0 1), 11.41°, I 58
- (2 0 0), 20.19°, I 17
- (1 0 4), 23.91°, I 13
- (1 1 2), 24.87°, I 100
- (2 0 3), 25.99°, I 27
- (2 1 0), 28.50°, I 15
- (2 0 4), 29.77°, I 20
- (2 1 3), 32.95°, I 22
- (0 2 0), 40.45°, I 20
- (0 1 7), 43.58°, I 14
- (4 1 3), 49.10°, I 13
- (2 2 4), 51.05°, I 13